1.
For CsTlCuF4, a structure optimized by DFT (PBE) gives the theoretical powder diffractogram in this record (Cu Kα (λ = 1.5418 Å)).

Cell and atoms:
a = 7.0968 Å, b = 7.0968 Å, c = 7.0968 Å
α = 60.00°, β = 60.00°, γ = 60.00°
Atoms (fractional coordinates):
Cs 0.0000 0.0000 0.0000
Tl 0.2500 0.2500 0.2500
Cu 0.5000 0.5000 0.5000
F 0.3888 0.3888 0.3888
F 0.3888 0.3888 0.8336
F 0.3888 0.8336 0.3888
F 0.8336 0.3888 0.3888

Largest 12 diffraction maxima, sorted by position, 2θ = 5–70°:
5.795 Å, 2θ 15.3, I = 65
3.548 Å, 2θ 25.1, I = 100
3.026 Å, 2θ 29.5, I = 29
2.509 Å, 2θ 35.8, I = 13
2.303 Å, 2θ 39.1, I = 23
2.049 Å, 2θ 44.2, I = 43
1.932 Å, 2θ 47.0, I = 13
1.774 Å, 2θ 51.5, I = 18
1.696 Å, 2θ 54.1, I = 14
1.587 Å, 2θ 58.1, I = 19
1.531 Å, 2θ 60.5, I = 4
1.405 Å, 2θ 66.5, I = 8

***

2.
For Cs4PmI6, a structure optimized by DFT (PBE) gives the theoretical powder diffractogram in this record (Cu Kα (λ = 1.5418 Å)).

Cell and atoms:
a = 10.4523 Å, b = 10.4523 Å, c = 10.9196 Å
α = 90.00°, β = 90.00°, γ = 90.00°
Atoms (fractional coordinates):
Cs 0.1678 0.3322 0.2500
Cs 0.1678 0.3322 0.7500
Cs 0.3322 0.8322 0.2500
Cs 0.3322 0.8322 0.7500
Cs 0.6678 0.1678 0.2500
Cs 0.6678 0.1678 0.7500
Cs 0.8322 0.6678 0.2500
Cs 0.8322 0.6678 0.7500
Pm 0.0000 0.0000 0.0000
Pm 0.5000 0.5000 0.5000
I 0.0000 0.0000 0.2894
I 0.0000 0.0000 0.7106
I 0.0978 0.7047 0.0000
I 0.2047 0.5978 0.5000
I 0.2953 0.0978 0.0000
I 0.4022 0.2047 0.5000
I 0.5000 0.5000 0.2106
I 0.5000 0.5000 0.7894
I 0.5978 0.7953 0.5000
I 0.7047 0.9022 0.0000
I 0.7953 0.4022 0.5000
I 0.9022 0.2953 0.0000

Largest 12 diffraction maxima, sorted by position, 2θ = 5–70°:
7.551 Å, 2θ 11.7, I = 29
3.551 Å, 2θ 25.1, I = 100
3.437 Å, 2θ 25.9, I = 19
3.305 Å, 2θ 27.0, I = 59
3.164 Å, 2θ 28.2, I = 16
2.730 Å, 2θ 32.8, I = 22
2.337 Å, 2θ 38.5, I = 17
2.268 Å, 2θ 39.7, I = 12
2.105 Å, 2θ 43.0, I = 25
2.080 Å, 2θ 43.5, I = 10
1.775 Å, 2θ 51.5, I = 11
1.696 Å, 2θ 54.1, I = 12

***

3.
For Rb2TlPb2, a structure optimized by DFT (PBE) gives the theoretical powder diffractogram in this record (Cu Kα (λ = 1.5418 Å)).

Cell and atoms:
a = 6.8641 Å, b = 6.8641 Å, c = 10.3339 Å
α = 97.58°, β = 97.58°, γ = 65.72°
Atoms (fractional coordinates):
Rb 0.0293 0.2761 0.1595
Rb 0.2761 0.0293 0.6595
Rb 0.7239 0.9707 0.3405
Rb 0.9707 0.7239 0.8405
Tl 0.4145 0.5855 0.2500
Tl 0.5855 0.4145 0.7500
Pb 0.2364 0.5091 0.4928
Pb 0.4909 0.7636 0.0072
Pb 0.5091 0.2364 0.9928
Pb 0.7636 0.4909 0.5072

Largest 12 diffraction maxima, sorted by position, 2θ = 5–70°:
6.234 Å, 2θ 14.2, I = 100
5.124 Å, 2θ 17.3, I = 45
3.499 Å, 2θ 25.5, I = 38
3.100 Å, 2θ 28.8, I = 39
3.084 Å, 2θ 29.0, I = 35
3.055 Å, 2θ 29.2, I = 31
3.021 Å, 2θ 29.6, I = 42
2.912 Å, 2θ 30.7, I = 78
2.671 Å, 2θ 33.5, I = 35
2.653 Å, 2θ 33.8, I = 26
2.436 Å, 2θ 36.9, I = 33
1.707 Å, 2θ 53.7, I = 25

***

4.
For In6Br7Cl5, a structure optimized by DFT (PBE) gives the theoretical powder diffractogram in this record (Cu Kα (λ = 1.5418 Å)).

Cell and atoms:
a = 12.3939 Å, b = 7.1690 Å, c = 7.1690 Å
α = 95.27°, β = 90.00°, γ = 90.00°
Atoms (fractional coordinates):
In 0.0000 0.0000 0.0000
In 0.1659 0.5107 0.5107
In 0.3263 0.0207 0.0207
In 0.5000 0.5056 0.5056
In 0.6737 0.0207 0.0207
In 0.8341 0.5107 0.5107
Br 0.0000 0.3381 0.6939
Br 0.0000 0.6939 0.3381
Br 0.3328 0.3277 0.6812
Br 0.3328 0.6812 0.3277
Br 0.5000 0.7799 0.7799
Br 0.6672 0.3277 0.6812
Br 0.6672 0.6812 0.3277
Cl 0.1606 0.2525 0.2525
Cl 0.1691 0.7693 0.7693
Cl 0.5000 0.2458 0.2458
Cl 0.8309 0.7693 0.7693
Cl 0.8394 0.2525 0.2525

Largest 12 diffraction maxima, sorted by position, 2θ = 5–70°:
7.139 Å, 2θ 12.4, I = 18
5.297 Å, 2θ 16.7, I = 52
4.831 Å, 2θ 18.4, I = 77
3.575 Å, 2θ 24.9, I = 39
3.317 Å, 2θ 26.9, I = 19
3.258 Å, 2θ 27.4, I = 23
3.140 Å, 2θ 28.4, I = 35
2.586 Å, 2θ 34.7, I = 100
2.470 Å, 2θ 36.4, I = 19
2.416 Å, 2θ 37.2, I = 31
2.063 Å, 2θ 43.9, I = 77
1.569 Å, 2θ 58.9, I = 32

***

5.
For Er6TlCd, a structure optimized by DFT (PBE) gives the theoretical powder diffractogram in this record (Cu Kα (λ = 1.5418 Å)).

Cell and atoms:
a = 9.7653 Å, b = 9.7653 Å, c = 9.7653 Å
α = 150.21°, β = 150.21°, γ = 42.63°
Atoms (fractional coordinates):
Er 0.1157 0.6157 0.5000
Er 0.2490 0.2490 0.0000
Er 0.3843 0.8843 0.5000
Er 0.6157 0.1157 0.5000
Er 0.7510 0.7510 0.0000
Er 0.8843 0.3843 0.5000
Tl 0.5000 0.5000 0.0000
Cd 0.0000 0.0000 0.0000

Largest 12 diffraction maxima, sorted by position, 2θ = 5–70°:
4.839 Å, 2θ 18.3, I = 1
2.798 Å, 2θ 32.0, I = 100
2.510 Å, 2θ 35.8, I = 38
2.306 Å, 2θ 39.1, I = 2
2.274 Å, 2θ 39.6, I = 13
1.934 Å, 2θ 47.0, I = 1
1.775 Å, 2θ 51.5, I = 14
1.685 Å, 2θ 54.4, I = 21
1.619 Å, 2θ 56.9, I = 2
1.499 Å, 2θ 61.9, I = 30
1.399 Å, 2θ 66.9, I = 11
1.394 Å, 2θ 67.1, I = 9

***

6.
For Tl2AgS4, a structure optimized by DFT (PBE) gives the theoretical powder diffractogram in this record (Cu Kα (λ = 1.5418 Å)).

Cell and atoms:
a = 8.8596 Å, b = 8.8596 Å, c = 8.8596 Å
α = 115.81°, β = 78.57°, γ = 139.71°
Atoms (fractional coordinates):
Tl 0.1430 0.1842 0.3272
Tl 0.3570 0.6842 0.0413
Tl 0.6430 0.3158 0.9587
Tl 0.8570 0.8158 0.6728
Ag 0.2500 0.7500 0.5000
Ag 0.7500 0.2500 0.5000
S 0.0753 0.8594 0.9347
S 0.1137 0.6487 0.7624
S 0.3863 0.1487 0.5350
S 0.4247 0.3594 0.7841
S 0.5753 0.6406 0.2159
S 0.6137 0.8513 0.4650
S 0.8863 0.3513 0.2376
S 0.9247 0.1406 0.0653

Largest 12 diffraction maxima, sorted by position, 2θ = 5–70°:
4.106 Å, 2θ 21.6, I = 100
3.597 Å, 2θ 24.8, I = 47
3.056 Å, 2θ 29.2, I = 57
2.849 Å, 2θ 31.4, I = 22
2.840 Å, 2θ 31.5, I = 21
2.771 Å, 2θ 32.3, I = 30
2.561 Å, 2θ 35.0, I = 29
2.280 Å, 2θ 39.5, I = 37
2.209 Å, 2θ 40.8, I = 28
2.168 Å, 2θ 41.7, I = 22
1.973 Å, 2θ 46.0, I = 26
1.714 Å, 2θ 53.4, I = 21

***

7.
For Ce2Tc2Ge3, a structure optimized by DFT (PBE) gives the theoretical powder diffractogram in this record (Cu Kα (λ = 1.5418 Å)).

Cell and atoms:
a = 5.9375 Å, b = 5.9375 Å, c = 7.2661 Å
α = 105.97°, β = 105.97°, γ = 42.05°
Atoms (fractional coordinates):
Ce 0.1056 0.1056 0.2890
Ce 0.8944 0.8944 0.7110
Tc 0.3074 0.3074 0.0711
Tc 0.6926 0.6926 0.9289
Ge 0.1864 0.1864 0.7118
Ge 0.5000 0.5000 0.0000
Ge 0.8136 0.8136 0.2882

Largest 12 diffraction maxima, sorted by position, 2θ = 5–70°:
6.943 Å, 2θ 12.7, I = 61
3.953 Å, 2θ 22.5, I = 23
3.283 Å, 2θ 27.2, I = 86
2.761 Å, 2θ 32.4, I = 100
2.752 Å, 2θ 32.5, I = 86
2.477 Å, 2θ 36.3, I = 96
2.314 Å, 2θ 38.9, I = 27
2.130 Å, 2θ 42.4, I = 62
2.001 Å, 2θ 45.3, I = 57
1.937 Å, 2θ 46.9, I = 43
1.897 Å, 2θ 48.0, I = 29
1.686 Å, 2θ 54.4, I = 32

***

8.
For PmMnTe3, a structure optimized by DFT (PBE) gives the theoretical powder diffractogram in this record (Cu Kα (λ = 1.5418 Å)).

Cell and atoms:
a = 7.8448 Å, b = 4.2595 Å, c = 8.7166 Å
α = 90.00°, β = 93.97°, γ = 90.00°
Atoms (fractional coordinates):
Pm 0.1222 0.2500 0.2880
Pm 0.8778 0.7500 0.7120
Mn 0.3512 0.7500 0.8390
Mn 0.6488 0.2500 0.1610
Te 0.1274 0.2500 0.9072
Te 0.2336 0.7500 0.5420
Te 0.4047 0.7500 0.1590
Te 0.5953 0.2500 0.8410
Te 0.7664 0.2500 0.4580
Te 0.8726 0.7500 0.0928

Largest 12 diffraction maxima, sorted by position, 2θ = 5–70°:
3.396 Å, 2θ 26.2, I = 44
3.043 Å, 2θ 29.4, I = 62
3.014 Å, 2θ 29.6, I = 39
2.882 Å, 2θ 31.0, I = 100
2.778 Å, 2θ 32.2, I = 37
2.659 Å, 2θ 33.7, I = 42
2.329 Å, 2θ 38.7, I = 50
2.256 Å, 2θ 40.0, I = 18
2.130 Å, 2θ 42.4, I = 45
1.936 Å, 2θ 46.9, I = 22
1.739 Å, 2θ 52.6, I = 28
1.662 Å, 2θ 55.3, I = 20